No. 1
The following is a calculated X-ray powder pattern of BaSiC. It was derived from a cell relaxed with PBE, using Cu Kα, 1.54184 Å.

Main lines, by angle (10 to 80 degrees two-theta):
- 22.86°, intensity 40.0
- 24.08°, intensity 81.7
- 27.08°, intensity 100.0
- 28.14°, intensity 86.9
- 28.91°, intensity 88.8
- 33.34°, intensity 35.8
- 37.16°, intensity 51.3
- 44.72°, intensity 38.8

Cell and atoms:
abc: 8.310 6.177 11.088
angles: 90.00 90.00 90.00
Space group Pnma (No. 62)
One atom of each set of equivalent atoms:
Ba 0.020 0.250 0.200 [4 per cell]
Ba 0.160 0.750 0.390 [4 per cell]
Si 0.079 0.750 0.098 [4 per cell]
Si 0.188 0.250 0.486 [4 per cell]
C 0.208 0.128 0.652 [8 per cell]

---

No. 2
The following is a calculated X-ray powder pattern of MgSb4O9. It was derived from a cell relaxed with PBE, using Cu Kα, 1.54184 Å.

Main lines, by angle (10 to 80 degrees two-theta):
- 17.40°, intensity 50.1
- 27.11°, intensity 25.6
- 27.68°, intensity 100.0
- 30.39°, intensity 68.7
- 41.55°, intensity 43.5
- 43.51°, intensity 24.1
- 52.35°, intensity 26.9
- 63.20°, intensity 24.5

Cell and atoms:
abc: 9.302 9.302 5.098
angles: 90.00 90.00 90.00
Space group P4/n (No. 85, origin choice 2)
One atom of each set of equivalent atoms:
Mg 0.250 0.250 0.092 [2 per cell]
Sb 0.024 0.669 0.358 [8 per cell]
O 0.037 0.308 0.995 [8 per cell]
O 0.057 0.142 0.479 [8 per cell]
O 0.250 0.750 0.500 [2 per cell]

---

No. 3
The following is a calculated X-ray powder pattern of Ca3Mg. It was derived from a cell relaxed with PBE, using Cu Kα, 1.54184 Å.

Main lines, by angle (10 to 80 degrees two-theta):
- 27.71°, intensity 23.8
- 29.70°, intensity 26.3
- 31.52°, intensity 100.0
- 41.07°, intensity 15.3
- 49.01°, intensity 17.4
- 53.86°, intensity 19.3
- 58.37°, intensity 19.6
- 59.45°, intensity 13.8

Cell and atoms:
abc: 7.4340 7.4340 6.0160
angles: 90.00 90.00 120.00
Space group P6_3/mmc (No. 194)
One atom of each set of equivalent atoms:
Ca 0.1700 0.3400 0.2500 [6 per cell]
Mg 0.3333 0.6667 0.7500 [2 per cell]

---

No. 4
The following is a calculated X-ray powder pattern of Eu2Te4O11. It was derived from a cell relaxed with PBE, using Cu Kα, 1.54184 Å.

Main lines, by angle (10 to 80 degrees two-theta):
- 25.87°, intensity 100.0
- 29.13°, intensity 31.0
- 29.29°, intensity 65.1
- 32.90°, intensity 20.3
- 33.82°, intensity 17.8
- 45.23°, intensity 20.8
- 47.59°, intensity 17.5
- 47.91°, intensity 17.7

Cell and atoms:
abc: 12.655 5.300 16.647
angles: 90.00 104.31 90.00
Space group C2/c (No. 15)
One atom of each set of equivalent atoms:
Eu 0.120 0.249 0.039 [8 per cell]
Te 0.120 0.280 0.699 [8 per cell]
Te 0.131 0.282 0.375 [8 per cell]
O 0.000 0.150 0.750 [4 per cell]
O 0.024 0.422 0.602 [8 per cell]
O 0.071 0.109 0.452 [8 per cell]
O 0.149 0.047 0.170 [8 per cell]
O 0.208 0.464 0.947 [8 per cell]
O 0.246 0.432 0.628 [8 per cell]